This entry pairs a crystal structure of Pr3Pd with its computed X-ray diffraction stick pattern. Radiation: Cu Ka. Structure: a DFT-relaxed cell (PBE, the Materials Project).
No peak broadening, texture or thermal motion is included.

Main lines, sorted by position (2θ from 10° to 80°):
- 2θ = 20.95°, intensity 1
- 2θ = 32.01°, intensity 100
- 2θ = 32.78°, intensity 23
- 2θ = 39.15°, intensity 29
- 2θ = 51.96°, intensity 25
- 2θ = 56.56°, intensity 10
- 2θ = 58.04°, intensity 18
- 2θ = 66.49°, intensity 24
- 2θ = 66.94°, intensity 12
- 2θ = 68.72°, intensity 3

```
8
Lattice="4.6021 0.0000 0.0000 0.0000 4.6021 0.0000 0.0000 0.0000 10.9274" Properties=species:S:1:pos:R:3 pbc="T T T"
Pr 0.0000 0.0000 0.0000
Pr 0.0000 2.3011 2.7318
Pr 0.0000 2.3011 8.1955
Pr 2.3011 0.0000 2.7318
Pr 2.3011 0.0000 8.1955
Pr 2.3011 2.3011 5.4637
Pd 0.0000 0.0000 5.4637
Pd 2.3011 2.3011 0.0000
```



This entry pairs a crystal structure of PrPd2 with its computed X-ray diffraction stick pattern. Radiation: Cu Ka. Structure: a DFT-relaxed cell (PBE, the Materials Project).
No peak broadening, texture or thermal motion is included.

Main lines, sorted by position (2θ from 10° to 80°):
- 2θ = 24.51°, intensity 49
- 2θ = 37.70°, intensity 16
- 2θ = 37.80°, intensity 100
- 2θ = 40.30°, intensity 21
- 2θ = 45.66°, intensity 29
- 2θ = 52.49°, intensity 12
- 2θ = 62.51°, intensity 23
- 2θ = 66.55°, intensity 9
- 2θ = 71.61°, intensity 15
- 2θ = 79.15°, intensity 24

```
6
Lattice="3.9742 0.0000 0.0000 0.0000 3.9742 0.0000 0.0000 0.0000 8.9511" Properties=species:S:1:pos:R:3 pbc="T T T"
Pr 0.0000 0.0000 0.0000
Pr 1.9871 1.9871 4.4756
Pd 0.0000 1.9871 2.2378
Pd 0.0000 1.9871 6.7134
Pd 1.9871 0.0000 2.2378
Pd 1.9871 0.0000 6.7134
```



This entry pairs a crystal structure of PrSb2Pd with its computed X-ray diffraction stick pattern. Radiation: Cu Ka. Structure: a DFT-relaxed cell (PBE, the Materials Project).
No peak broadening, texture or thermal motion is included.

Main lines, sorted by position (2θ from 10° to 80°):
- 2θ = 30.72°, intensity 100
- 2θ = 32.61°, intensity 41
- 2θ = 36.16°, intensity 59
- 2θ = 44.00°, intensity 37
- 2θ = 45.40°, intensity 32
- 2θ = 55.82°, intensity 9
- 2θ = 58.22°, intensity 29
- 2θ = 63.94°, intensity 28
- 2θ = 65.07°, intensity 11
- 2θ = 72.63°, intensity 16

```
8
Lattice="5.8212 0.0000 0.0000 0.0000 5.8212 0.0000 0.0000 0.0000 6.2295" Properties=species:S:1:pos:R:3 pbc="T T T"
Pr 1.4553 1.4553 1.0071
Pr 4.3659 4.3659 5.2224
Sb 1.4553 1.4553 4.0617
Sb 1.4553 4.3659 0.0000
Sb 4.3659 1.4553 0.0000
Sb 4.3659 4.3659 2.1678
Pd 1.4553 4.3659 3.1148
Pd 4.3659 1.4553 3.1148
```



This entry pairs a crystal structure of PrSbPd with its computed X-ray diffraction stick pattern. Radiation: Cu Ka. Structure: a DFT-relaxed cell (PBE, the Materials Project).
No peak broadening, texture or thermal motion is included.

Main lines, sorted by position (2θ from 10° to 80°):
- 2θ = 21.90°, intensity 5
- 2θ = 31.37°, intensity 100
- 2θ = 38.92°, intensity 58
- 2θ = 44.65°, intensity 13
- 2θ = 45.10°, intensity 4
- 2θ = 50.81°, intensity 26
- 2θ = 60.70°, intensity 31
- 2θ = 65.80°, intensity 23
- 2θ = 70.49°, intensity 10
- 2θ = 73.94°, intensity 8

```
6
Lattice="4.6279 0.0000 0.0000 -2.3139 4.0079 0.0000 0.0000 0.0000 8.1178" Properties=species:S:1:pos:R:3 pbc="T T T"
Pr 0.0000 0.0000 0.0000
Pr 0.0000 0.0000 4.0589
Sb 0.0000 2.6719 2.0295
Sb 2.3139 1.3360 6.0884
Pd 0.0000 2.6719 6.0884
Pd 2.3139 1.3360 2.0295
```



This entry pairs a crystal structure of PrSbPd with its computed X-ray diffraction stick pattern. Radiation: Cu Ka. Structure: a DFT-relaxed cell (PBE, the Materials Project).
No peak broadening, texture or thermal motion is included.

Main lines, sorted by position (2θ from 10° to 80°):
- 2θ = 24.79°, intensity 6
- 2θ = 31.64°, intensity 100
- 2θ = 38.73°, intensity 66
- 2θ = 40.78°, intensity 12
- 2θ = 45.69°, intensity 8
- 2θ = 50.84°, intensity 26
- 2θ = 61.40°, intensity 20
- 2θ = 62.89°, intensity 7
- 2θ = 65.69°, intensity 24
- 2θ = 70.10°, intensity 11

```
6
Lattice="4.6503 0.0000 0.0000 -2.3251 4.0273 0.0000 0.0000 0.0000 7.9434" Properties=species:S:1:pos:R:3 pbc="T T T"
Pr 0.0000 0.0000 0.0000
Pr 0.0000 0.0000 3.9717
Sb 0.0000 2.6848 1.8466
Sb 2.3251 1.3424 5.8183
Pd 0.0000 2.6848 6.3686
Pd 2.3251 1.3424 2.3969
```



This entry pairs a crystal structure of PrSbPd with its computed X-ray diffraction stick pattern. Radiation: Cu Ka. Structure: a DFT-relaxed cell (PBE, the Materials Project).
No peak broadening, texture or thermal motion is included.

Main lines, sorted by position (2θ from 10° to 80°):
- 2θ = 24.12°, intensity 15
- 2θ = 32.73°, intensity 100
- 2θ = 35.95°, intensity 98
- 2θ = 43.76°, intensity 22
- 2θ = 49.40°, intensity 31
- 2θ = 57.87°, intensity 11
- 2θ = 62.59°, intensity 30
- 2θ = 64.62°, intensity 30
- 2θ = 70.05°, intensity 19
- 2θ = 76.21°, intensity 11

```
6
Lattice="4.9967 0.0000 0.0000 -2.4984 4.3273 0.0000 0.0000 0.0000 7.0647" Properties=species:S:1:pos:R:3 pbc="T T T"
Pr 0.0000 0.0000 1.6072
Pr 0.0000 0.0000 5.4576
Sb 0.0000 2.8849 3.2531
Sb 2.4984 1.4424 3.8117
Pd 0.0000 2.8849 0.3439
Pd 2.4984 1.4424 6.7209
```



This entry pairs a crystal structure of PrSb2Pd with its computed X-ray diffraction stick pattern. Radiation: Cu Ka. Structure: a DFT-relaxed cell (PBE, the Materials Project).
No peak broadening, texture or thermal motion is included.

Main lines, sorted by position (2θ from 10° to 80°):
- 2θ = 26.60°, intensity 11
- 2θ = 33.32°, intensity 100
- 2θ = 35.89°, intensity 8
- 2θ = 39.97°, intensity 37
- 2θ = 49.84°, intensity 11
- 2θ = 53.05°, intensity 8
- 2θ = 54.80°, intensity 9
- 2θ = 57.81°, intensity 12
- 2θ = 65.72°, intensity 9
- 2θ = 68.38°, intensity 22

```
8
Lattice="4.5113 0.0000 0.0000 0.0000 4.5113 0.0000 0.0000 0.0000 10.0075" Properties=species:S:1:pos:R:3 pbc="T T T"
Pr 1.1278 1.1278 2.4735
Pr 3.3835 3.3835 7.5341
Sb 1.1278 1.1278 8.4883
Sb 1.1278 3.3835 5.0038
Sb 3.3835 1.1278 5.0038
Sb 3.3835 3.3835 1.5192
Pd 1.1278 3.3835 0.0000
Pd 3.3835 1.1278 0.0000
```



This entry pairs a crystal structure of Pr3Sb5Pd6 with its computed X-ray diffraction stick pattern. Radiation: Cu Ka. Structure: a DFT-relaxed cell (PBE, the Materials Project).
No peak broadening, texture or thermal motion is included.

Main lines, sorted by position (2θ from 10° to 80°):
- 2θ = 27.87°, intensity 7
- 2θ = 33.06°, intensity 100
- 2θ = 39.65°, intensity 22
- 2θ = 39.98°, intensity 25
- 2θ = 45.59°, intensity 8
- 2θ = 49.14°, intensity 11
- 2θ = 52.77°, intensity 8
- 2θ = 57.58°, intensity 12
- 2θ = 64.94°, intensity 7
- 2θ = 68.26°, intensity 10

```
28
Lattice="4.5097 0.0000 0.0000 0.0000 13.6364 0.0000 0.0000 0.0000 10.1591" Properties=species:S:1:pos:R:3 pbc="T T T"
Pr 1.1274 1.0105 2.4956
Pr 1.1274 5.8077 2.4956
Pr 1.1274 10.2273 2.4720
Pr 3.3822 3.4091 7.6871
Pr 3.3822 7.8287 7.6634
Pr 3.3822 12.6259 7.6634
Sb 1.1274 1.1855 8.7701
Sb 1.1274 5.6327 8.7701
Sb 1.1274 8.4996 5.3130
Sb 1.1274 10.2273 8.4282
Sb 1.1274 11.9549 5.3130
Sb 3.3822 1.6814 4.8461
Sb 3.3822 3.4091 1.7309
Sb 3.3822 5.1367 4.8461
Sb 3.3822 8.0037 1.3890
Sb 3.3822 12.4509 1.3890
Pd 1.1274 0.9262 6.1278
Pd 1.1274 3.4091 0.1778
Pd 1.1274 3.4091 4.8245
Pd 1.1274 5.8920 6.1278
Pd 1.1274 8.0409 10.0673
Pd 1.1274 12.4137 10.0673
Pd 3.3822 1.2227 0.0918
Pd 3.3822 5.5955 0.0918
Pd 3.3822 7.7444 4.0313
Pd 3.3822 10.2273 5.3346
Pd 3.3822 10.2273 9.9813
Pd 3.3822 12.7102 4.0313
```